1.
# KZnSeO4
Computed powder XRD pattern, Cu Kα (weighted mean of Kα1 and Kα2). Input: the GGA-PBE geometry in Alexandria.
No peak broadening, texture or thermal motion is included.

Crystal structure
```
data_KZnSeO4
_chemical_formula_sum 'K2 Zn2 Se2 O8'
_cell_length_a 5.7840
_cell_length_b 5.7840
_cell_length_c 7.9503
_cell_angle_alpha 90.00
_cell_angle_beta 90.00
_cell_angle_gamma 90.00
_space_group_name_H-M_alt 'I -4'
_space_group_IT_number 82
_space_group_name_Hall 'I -4'
loop_
_atom_site_label
_atom_site_type_symbol
_atom_site_fract_x
_atom_site_fract_y
_atom_site_fract_z
_atom_site_occupancy
K1 K 0.0000 0.0000 0.0000 1
Zn1 Zn 0.0000 0.0000 0.5000 1
Se1 Se 0.0000 0.5000 0.7500 1
O1 O 0.1233 0.2667 0.6316 1
```

The 10 most intense peaks (10° ≤ 2θ ≤ 90°), by angle:
| 2theta | d_spacing | I/Imax | index |
| --- | --- | --- | --- |
| 19.0 | 4.677 | 1000 | 1 0 1 |
| 30.9 | 2.892 | 304 | 2 0 0 |
| 31.4 | 2.851 | 906 | 1 1 2 |
| 36.5 | 2.460 | 159 | 2 1 1 |
| 44.3 | 2.045 | 156 | 2 2 0 |
| 49.2 | 1.851 | 151 | 1 2 3 |
| 55.3 | 1.662 | 314 | 3 1 2 |
| 56.2 | 1.638 | 196 | 2 0 4 |
| 58.7 | 1.572 | 85 | 3 2 1 |
| 65.5 | 1.425 | 93 | 2 2 4 |

2.
# BaNaS2O6
Computed powder XRD pattern, Cu Kα (weighted mean of Kα1 and Kα2). Input: the GGA-PBE geometry in Alexandria.
No peak broadening, texture or thermal motion is included.

Crystal structure
```
data_BaNaS2O6
_chemical_formula_sum 'Ba3 Na3 S6 O18'
_cell_length_a 5.5751
_cell_length_b 5.5751
_cell_length_c 18.1470
_cell_angle_alpha 90.00
_cell_angle_beta 90.00
_cell_angle_gamma 120.00
_space_group_name_H-M_alt 'R -3'
_space_group_IT_number 148
_space_group_name_Hall '-R 3'
loop_
_atom_site_label
_atom_site_type_symbol
_atom_site_fract_x
_atom_site_fract_y
_atom_site_fract_z
_atom_site_occupancy
Ba1 Ba 0.0000 0.0000 0.0000 1
Na1 Na 0.0000 0.0000 0.5000 1
S1 S 0.0000 0.0000 0.2198 1
O1 O 0.0527 0.4461 0.9157 1
```

The 10 most intense peaks (10° ≤ 2θ ≤ 90°), by angle:
| 2theta | d_spacing | I/Imax | index |
| --- | --- | --- | --- |
| 19.0 | 4.666 | 462 | 1 0 1 |
| 27.0 | 3.306 | 1000 | 1 0 4 |
| 30.8 | 2.901 | 380 | 0 1 5 |
| 32.1 | 2.788 | 395 | 1 1 0 |
| 35.5 | 2.532 | 142 | 1 1 3 |
| 37.6 | 2.393 | 197 | 0 2 1 |
| 42.4 | 2.131 | 139 | 0 2 4 |
| 44.2 | 2.051 | 391 | 0 1 8 |
| 54.2 | 1.693 | 161 | 3 -1 4 |
| 56.4 | 1.630 | 143 | 3 -2 5 |

3.
# CeSm3Tc8
Computed powder XRD pattern, Cu Kα (weighted mean of Kα1 and Kα2). Input: the GGA-PBE geometry in Alexandria.
No peak broadening, texture or thermal motion is included.

Crystal structure
```
data_CeSm3Tc8
_chemical_formula_sum 'Ce3 Sm9 Tc24'
_cell_length_a 5.3290
_cell_length_b 5.3290
_cell_length_c 28.0114
_cell_angle_alpha 90.00
_cell_angle_beta 90.00
_cell_angle_gamma 120.00
_space_group_name_H-M_alt 'R 3 m'
_space_group_IT_number 160
_space_group_name_Hall 'R 3 -2"'
loop_
_atom_site_label
_atom_site_type_symbol
_atom_site_fract_x
_atom_site_fract_y
_atom_site_fract_z
_atom_site_occupancy
Ce1 Ce 0.0000 0.0000 0.0000 1
Sm1 Sm 0.0000 0.0000 0.3740 1
Sm2 Sm 0.0000 0.0000 0.4992 1
Sm3 Sm 0.0000 0.0000 0.8747 1
Tc1 Tc 0.0000 0.0000 0.1869 1
Tc2 Tc 0.0000 0.0000 0.6867 1
Tc3 Tc 0.9997 0.4998 0.9366 1
Tc4 Tc 0.0012 0.5006 0.4374 1
```

The 10 most intense peaks (10° ≤ 2θ ≤ 90°), by angle:
| 2theta | d_spacing | I/Imax | index |
| --- | --- | --- | --- |
| 32.1 | 2.789 | 434 | 0 1 8 |
| 33.6 | 2.665 | 383 | 1 1 0 |
| 37.6 | 2.395 | 545 | 1 0 10 |
| 38.9 | 2.314 | 1000 | 1 1 6 |
| 39.6 | 2.277 | 474 | 2 0 2 |
| 41.2 | 2.192 | 407 | 0 2 4 |
| 62.8 | 1.481 | 239 | 2 1 10 |
| 63.7 | 1.461 | 231 | 3 0 6 |
| 67.1 | 1.395 | 282 | 0 2 16 |
| 70.7 | 1.332 | 242 | 2 2 0 |

4.
# Ba4HoTl5
Computed powder XRD pattern, Cu Kα (weighted mean of Kα1 and Kα2). Input: the GGA-PBE geometry in Alexandria.
No peak broadening, texture or thermal motion is included.

Crystal structure
```
data_Ba4HoTl5
_chemical_formula_sum 'Ba4 Ho1 Tl5'
_cell_length_a 4.1209
_cell_length_b 4.1209
_cell_length_c 21.5989
_cell_angle_alpha 90.00
_cell_angle_beta 90.00
_cell_angle_gamma 90.00
_space_group_name_H-M_alt 'P 4/m m m'
_space_group_IT_number 123
_space_group_name_Hall '-P 4 2'
loop_
_atom_site_label
_atom_site_type_symbol
_atom_site_fract_x
_atom_site_fract_y
_atom_site_fract_z
_atom_site_occupancy
Ba1 Ba 0.0000 0.0000 0.1033 1
Ba2 Ba 0.0000 0.0000 0.3137 1
Ho1 Ho 0.0000 0.0000 0.5000 1
Tl1 Tl 0.5000 0.5000 0.0000 1
Tl2 Tl 0.5000 0.5000 0.2061 1
Tl3 Tl 0.5000 0.5000 0.4224 1
```

The 10 most intense peaks (10° ≤ 2θ ≤ 90°), by angle:
| 2theta | d_spacing | I/Imax | index |
| --- | --- | --- | --- |
| 30.0 | 2.982 | 1000 | 1 0 5 |
| 30.7 | 2.914 | 550 | 1 1 0 |
| 43.9 | 2.060 | 207 | 2 0 0 |
| 52.8 | 1.735 | 129 | 1 1 10 |
| 54.1 | 1.695 | 386 | 2 1 5 |
| 62.3 | 1.491 | 78 | 2 0 10 |
| 64.5 | 1.445 | 71 | 1 0 14 |
| 72.2 | 1.309 | 83 | 3 0 5 |
| 72.5 | 1.303 | 95 | 3 1 0 |
| 88.5 | 1.105 | 102 | 3 2 5 |

5.
# In7Bi5
Computed powder XRD pattern, Cu Kα (weighted mean of Kα1 and Kα2). Input: the GGA-PBE geometry in Alexandria.
No peak broadening, texture or thermal motion is included.

Crystal structure
```
data_In7Bi5
_chemical_formula_sum 'In14 Bi10'
_cell_length_a 15.0427
_cell_length_b 5.7564
_cell_length_c 9.5455
_cell_angle_alpha 90.00
_cell_angle_beta 119.12
_cell_angle_gamma 90.00
_space_group_name_H-M_alt 'C 1 m 1'
_space_group_IT_number 8
_space_group_name_Hall 'C -2y'
loop_
_atom_site_label
_atom_site_type_symbol
_atom_site_fract_x
_atom_site_fract_y
_atom_site_fract_z
_atom_site_occupancy
In1 In 0.0000 0.0000 0.0000 1
In2 In 0.9996 0.5000 0.4897 1
In3 In 0.1060 0.5000 0.9266 1
In4 In 0.1567 0.0000 0.8463 1
In5 In 0.2460 0.5000 0.7327 1
In6 In 0.3519 0.5000 0.1812 1
In7 In 0.4062 0.5000 0.5753 1
Bi1 Bi 0.0916 0.0000 0.4643 1
Bi2 Bi 0.1594 0.5000 0.3123 1
Bi3 Bi 0.2487 0.0000 0.2735 1
Bi4 Bi 0.3617 0.0000 0.6898 1
Bi5 Bi 0.4004 0.0000 0.0582 1
```

The 10 most intense peaks (10° ≤ 2θ ≤ 90°), by angle:
| 2theta | d_spacing | I/Imax | index |
| --- | --- | --- | --- |
| 30.5 | 2.934 | 563 | 2 0 2 |
| 31.1 | 2.878 | 632 | 0 2 0 |
| 32.5 | 2.755 | 1000 | 3 1 -3 |
| 34.1 | 2.627 | 861 | 5 1 -1 |
| 44.1 | 2.055 | 411 | 2 2 2 |
| 54.4 | 1.688 | 184 | 1 1 -5 |
| 56.2 | 1.637 | 229 | 3 3 -3 |
| 57.3 | 1.609 | 195 | 5 3 -1 |
| 57.6 | 1.600 | 129 | 7 1 1 |
| 61.3 | 1.512 | 177 | 8 2 -4 |